[1]
Sm3DySn2C: simulated powder diffraction line list (Cu Kα (weighted mean of Kα1 and Kα2)), based on a structure optimized by DFT (PBE).
Neutral-atom scattering factors, no anomalous dispersion.

Peak list (10 most intense, 2θ from 10° to 80°, sorted by position)
28.10°, rel. 71; 32.93°, rel. 33; 34.05°, rel. 100; 36.56°, rel. 30; 37.19°, rel. 29; 50.01°, rel. 18; 50.51°, rel. 20; 53.14°, rel. 21; 63.01°, rel. 17; 63.94°, rel. 17

Lattice parameters (Å, degrees): 4.835 4.916 16.322 90.00 90.00 90.00
Element x y z (fractional)
Sm1 0.000 0.000 0.000
Sm2 0.000 0.500 0.161
Sm3 0.000 0.500 0.839
Sm4 0.500 0.000 0.339
Sm5 0.500 0.000 0.661
Sm6 0.500 0.500 0.500
Dy1 0.000 0.000 0.500
Dy2 0.500 0.500 0.000
Sn1 0.000 0.500 0.361
Sn2 0.000 0.500 0.639
Sn3 0.500 0.000 0.139
Sn4 0.500 0.000 0.861
C1 0.000 0.500 0.000
C2 0.500 0.000 0.500

***

[2]
Dy4SnC: simulated powder diffraction line list (Cu Kα (weighted mean of Kα1 and Kα2)), based on a structure optimized by DFT (PBE).
Neutral-atom scattering factors, no anomalous dispersion.

Peak list (10 most intense, 2θ from 10° to 80°, sorted by position)
30.24°, rel. 100; 32.48°, rel. 89; 32.72°, rel. 19; 36.72°, rel. 36; 39.45°, rel. 46; 54.99°, rel. 35; 62.16°, rel. 13; 63.22°, rel. 25; 63.47°, rel. 13; 64.62°, rel. 26

Lattice parameters (Å, degrees): 9.587 9.587 6.783 90.00 90.00 150.42
Element x y z (fractional)
Dy1 0.000 0.000 0.000
Dy2 0.000 0.000 0.500
Dy3 0.183 0.817 0.504
Dy4 0.183 0.817 0.996
Dy5 0.403 0.597 0.750
Dy6 0.597 0.403 0.250
Dy7 0.817 0.183 0.004
Dy8 0.817 0.183 0.496
Sn1 0.408 0.592 0.250
Sn2 0.592 0.408 0.750
C1 0.098 0.902 0.250
C2 0.902 0.098 0.750

***

[3]
Dy9Sn3C2: simulated powder diffraction line list (Cu Kα (weighted mean of Kα1 and Kα2)), based on a structure optimized by DFT (PBE).
Neutral-atom scattering factors, no anomalous dispersion.

Peak list (9 most intense, 2θ from 10° to 80°, sorted by position)
18.19°, rel. 2; 25.83°, rel. 1; 31.77°, rel. 100; 36.85°, rel. 53; 41.39°, rel. 1; 53.11°, rel. 37; 63.23°, rel. 43; 66.39°, rel. 13; 78.42°, rel. 6

Lattice parameters (Å, degrees): 6.896 6.896 8.454 90.00 90.00 120.00
Element x y z (fractional)
Dy1 0.000 0.500 0.000
Dy2 0.169 0.339 0.669
Dy3 0.169 0.831 0.669
Dy4 0.339 0.169 0.331
Dy5 0.500 0.000 0.000
Dy6 0.500 0.500 0.000
Dy7 0.661 0.831 0.669
Dy8 0.831 0.169 0.331
Dy9 0.831 0.661 0.331
Sn1 0.000 0.000 0.000
Sn2 0.333 0.667 0.333
Sn3 0.667 0.333 0.667
C1 0.333 0.667 0.829
C2 0.667 0.333 0.171

***

[4]
TbDy3Sn2C: simulated powder diffraction line list (Cu Kα (weighted mean of Kα1 and Kα2)), based on a structure optimized by DFT (PBE).
Neutral-atom scattering factors, no anomalous dispersion.

Peak list (10 most intense, 2θ from 10° to 80°, sorted by position)
28.53°, rel. 72; 33.70°, rel. 35; 34.66°, rel. 100; 37.32°, rel. 30; 37.46°, rel. 29; 51.15°, rel. 20; 51.27°, rel. 20; 53.91°, rel. 21; 64.50°, rel. 19; 65.10°, rel. 17

Lattice parameters (Å, degrees): 4.801 4.819 15.958 90.00 90.00 90.00
Element x y z (fractional)
Tb1 0.000 0.000 0.000
Tb2 0.500 0.500 0.500
Dy1 0.000 0.000 0.500
Dy2 0.000 0.500 0.159
Dy3 0.000 0.500 0.841
Dy4 0.500 0.000 0.341
Dy5 0.500 0.000 0.659
Dy6 0.500 0.500 0.000
Sn1 0.000 0.500 0.360
Sn2 0.000 0.500 0.640
Sn3 0.500 0.000 0.140
Sn4 0.500 0.000 0.860
C1 0.000 0.500 0.000
C2 0.500 0.000 0.500

***

[5]
DyTaC: simulated powder diffraction line list (Cu Kα (weighted mean of Kα1 and Kα2)), based on a structure optimized by DFT (PBE).
Neutral-atom scattering factors, no anomalous dispersion.

Peak list (10 most intense, 2θ from 10° to 80°, sorted by position)
31.22°, rel. 20; 32.80°, rel. 26; 35.38°, rel. 100; 45.91°, rel. 18; 55.55°, rel. 19; 60.24°, rel. 22; 66.04°, rel. 21; 67.61°, rel. 15; 74.85°, rel. 4; 77.45°, rel. 4

Lattice parameters (Å, degrees): 6.384 6.384 6.384 53.33 53.33 53.33
Element x y z (fractional)
Dy1 0.011 0.661 0.329
Dy2 0.329 0.011 0.661
Dy3 0.661 0.329 0.011
Ta1 0.170 0.504 0.837
Ta2 0.504 0.837 0.170
Ta3 0.837 0.170 0.504
C1 0.233 0.233 0.233
C2 0.433 0.433 0.433
C3 0.901 0.901 0.901

***

[6]
TbDy3C8: simulated powder diffraction line list (Cu Kα (weighted mean of Kα1 and Kα2)), based on a structure optimized by DFT (PBE).
Neutral-atom scattering factors, no anomalous dispersion.

Peak list (10 most intense, 2θ from 10° to 80°, sorted by position)
25.83°, rel. 100; 28.40°, rel. 39; 29.42°, rel. 63; 31.66°, rel. 33; 35.77°, rel. 31; 37.91°, rel. 22; 46.29°, rel. 22; 46.49°, rel. 22; 48.50°, rel. 20; 53.08°, rel. 23

Lattice parameters (Å, degrees): 6.317 6.317 5.791 110.34 110.34 105.27
Element x y z (fractional)
Tb1 0.000 0.000 0.000
Dy1 0.317 0.822 0.531
Dy2 0.495 0.495 0.042
Dy3 0.822 0.317 0.531
C1 0.066 0.424 0.060
C2 0.130 0.130 0.587
C3 0.398 0.958 0.212
C4 0.424 0.066 0.060
C5 0.590 0.590 0.717
C6 0.626 0.626 0.525
C7 0.934 0.934 0.375
C8 0.958 0.398 0.212

***

[7]
DyTcC: simulated powder diffraction line list (Cu Kα (weighted mean of Kα1 and Kα2)), based on a structure optimized by DFT (PBE).
Neutral-atom scattering factors, no anomalous dispersion.

Peak list (10 most intense, 2θ from 10° to 80°, sorted by position)
31.10°, rel. 86; 35.68°, rel. 100; 40.06°, rel. 27; 42.36°, rel. 42; 52.22°, rel. 39; 59.71°, rel. 13; 62.04°, rel. 12; 64.85°, rel. 17; 67.78°, rel. 34; 69.94°, rel. 14

Lattice parameters (Å, degrees): 3.504 3.504 9.004 90.00 90.00 120.00
Element x y z (fractional)
Dy1 0.333 0.667 0.000
Dy2 0.667 0.333 0.500
Tc1 0.000 0.000 0.258
Tc2 0.000 0.000 0.758
C1 0.333 0.667 0.300
C2 0.667 0.333 0.800

***

[8]
Dy3Te3C: simulated powder diffraction line list (Cu Kα (weighted mean of Kα1 and Kα2)), based on a structure optimized by DFT (PBE).
Neutral-atom scattering factors, no anomalous dispersion.

Peak list (10 most intense, 2θ from 10° to 80°, sorted by position)
15.78°, rel. 10; 27.92°, rel. 100; 31.86°, rel. 39; 32.81°, rel. 34; 35.88°, rel. 10; 36.06°, rel. 60; 40.72°, rel. 17; 43.46°, rel. 10; 46.35°, rel. 10; 57.65°, rel. 13

Lattice parameters (Å, degrees): 7.549 7.549 7.642 97.41 97.41 111.67
Element x y z (fractional)
Dy1 0.096 0.096 0.332
Dy2 0.152 0.440 0.780
Dy3 0.440 0.152 0.780
Dy4 0.560 0.848 0.220
Dy5 0.848 0.560 0.220
Dy6 0.904 0.904 0.668
Te1 0.166 0.834 0.000
Te2 0.262 0.738 0.500
Te3 0.392 0.392 0.151
Te4 0.608 0.608 0.849
Te5 0.738 0.262 0.500
Te6 0.834 0.166 0.000
C1 0.168 0.168 0.643
C2 0.832 0.832 0.357

***

[9]
Dy4TeC: simulated powder diffraction line list (Cu Kα (weighted mean of Kα1 and Kα2)), based on a structure optimized by DFT (PBE).
Neutral-atom scattering factors, no anomalous dispersion.

Peak list (10 most intense, 2θ from 10° to 80°, sorted by position)
29.12°, rel. 50; 30.31°, rel. 86; 32.09°, rel. 60; 32.99°, rel. 32; 33.36°, rel. 100; 33.48°, rel. 43; 34.17°, rel. 26; 38.86°, rel. 47; 50.31°, rel. 37; 60.46°, rel. 30

Lattice parameters (Å, degrees): 8.210 8.210 6.343 105.85 105.85 118.83
Element x y z (fractional)
Dy1 0.056 0.653 0.835
Dy2 0.156 0.260 0.699
Dy3 0.260 0.156 0.199
Dy4 0.347 0.944 0.665
Dy5 0.653 0.056 0.335
Dy6 0.740 0.844 0.801
Dy7 0.844 0.740 0.301
Dy8 0.944 0.347 0.165
Te1 0.395 0.605 0.250
Te2 0.605 0.395 0.750
C1 0.066 0.934 0.750
C2 0.934 0.066 0.250

***

[10]
Dy4TeC: simulated powder diffraction line list (Cu Kα (weighted mean of Kα1 and Kα2)), based on a structure optimized by DFT (PBE).
Neutral-atom scattering factors, no anomalous dispersion.

Peak list (10 most intense, 2θ from 10° to 80°, sorted by position)
29.03°, rel. 33; 29.28°, rel. 47; 31.31°, rel. 61; 31.65°, rel. 100; 31.81°, rel. 56; 33.75°, rel. 80; 37.09°, rel. 34; 38.68°, rel. 43; 53.36°, rel. 20; 60.11°, rel. 22

Lattice parameters (Å, degrees): 8.546 8.546 6.154 110.31 110.31 112.73
Element x y z (fractional)
Dy1 0.056 0.669 0.885
Dy2 0.154 0.250 0.646
Dy3 0.250 0.154 0.146
Dy4 0.331 0.944 0.615
Dy5 0.669 0.056 0.385
Dy6 0.750 0.846 0.854
Dy7 0.846 0.750 0.354
Dy8 0.944 0.331 0.115
Te1 0.380 0.620 0.250
Te2 0.620 0.380 0.750
C1 0.074 0.926 0.250
C2 0.926 0.074 0.750

***

[11]
Dy7Te3C2: simulated powder diffraction line list (Cu Kα (weighted mean of Kα1 and Kα2)), based on a structure optimized by DFT (PBE).
Neutral-atom scattering factors, no anomalous dispersion.

Peak list (10 most intense, 2θ from 10° to 80°, sorted by position)
31.74°, rel. 100; 36.36°, rel. 16; 36.84°, rel. 19; 37.22°, rel. 18; 52.73°, rel. 11; 53.02°, rel. 11; 53.37°, rel. 13; 63.18°, rel. 14; 63.70°, rel. 14; 66.30°, rel. 11

Lattice parameters (Å, degrees): 12.591 12.591 4.832 90.00 90.00 157.65
Element x y z (fractional)
Dy1 0.000 0.000 0.000
Dy2 0.095 0.905 0.500
Dy3 0.196 0.804 0.000
Dy4 0.405 0.595 0.000
Dy5 0.595 0.405 0.000
Dy6 0.804 0.196 0.000
Dy7 0.905 0.095 0.500
Te1 0.313 0.687 0.500
Te2 0.500 0.500 0.500
Te3 0.687 0.313 0.500
C1 0.102 0.898 0.000
C2 0.898 0.102 0.000